Structure and simulated X-ray powder pattern of KCdRh (DFT lattice parameters and positions (GGA-PBE); λ = 1.5418 Å (Cu Kα)).
Peak positions follow from Bragg's law for the DFT cell and can differ from measured ones.

Cell and atoms:
Unit cell a=6.437 b=6.437 c=6.437 alpha=146.99 beta=146.99 gamma=47.38
Element x y z (fractional)
K  0.000  0.000  0.000
Cd  0.277  0.277  0.000
Rh  0.714  0.714  0.000

Largest 12 diffraction maxima, low angle first, 10 to 90 degrees two-theta:
2θ (°)  d_spacing  I/Imax
15.03  5.895  100.0
30.32  2.947  27.5
33.47  2.677  58.2
34.69  2.586  67.3
37.99  2.368  41.0
45.78  1.982  18.8
46.73  1.944  31.6
49.87  1.829  23.0
52.38  1.747  16.2
60.52  1.530  24.1
61.40  1.510  18.4
82.14  1.173  19.6

=====

Structure and simulated X-ray powder pattern of KCd9Rh2 (DFT lattice parameters and positions (GGA-PBE); λ = 1.5418 Å (Cu Kα)).
Peak positions follow from Bragg's law for the DFT cell and can differ from measured ones.

Cell and atoms:
Unit cell a=9.202 b=9.202 c=9.202 alpha=100.03 beta=100.03 gamma=130.67
Element x y z (fractional)
K  0.375  0.625  0.750
K  0.625  0.375  0.250
Cd  0.125  0.875  0.250
Cd  0.141  0.568  0.331
Cd  0.141  0.810  0.573
Cd  0.190  0.263  0.331
Cd  0.190  0.859  0.927
Cd  0.263  0.190  0.831
Cd  0.263  0.432  0.073
Cd  0.432  0.263  0.573
Cd  0.432  0.859  0.169
Cd  0.568  0.141  0.831
Cd  0.568  0.737  0.427
Cd  0.737  0.568  0.927
Cd  0.737  0.810  0.169
Cd  0.810  0.141  0.073
Cd  0.810  0.737  0.669
Cd  0.859  0.190  0.427
Cd  0.859  0.432  0.669
Cd  0.875  0.125  0.750
Rh  0.000  0.000  0.000
Rh  0.000  0.000  0.500
Rh  0.000  0.500  0.000
Rh  0.500  0.000  0.500

Largest 12 diffraction maxima, low angle first, 10 to 90 degrees two-theta:
2θ (°)  d_spacing  I/Imax
13.75  6.441  32.0
14.98  5.913  20.5
33.45  2.679  46.8
33.90  2.645  41.3
35.89  2.502  20.5
38.42  2.343  20.0
39.09  2.304  31.4
39.88  2.260  100.0
41.46  2.178  36.5
60.36  1.533  15.1
64.69  1.441  16.1
67.13  1.394  12.3

=====

Structure and simulated X-ray powder pattern of KCd3Rh (DFT lattice parameters and positions (GGA-PBE); λ = 1.5418 Å (Cu Kα)).
Peak positions follow from Bragg's law for the DFT cell and can differ from measured ones.

Cell and atoms:
Unit cell a=5.833 b=5.833 c=9.131 alpha=115.08 beta=115.08 gamma=59.50
Element x y z (fractional)
K  0.153  0.153  0.171
K  0.847  0.847  0.829
Cd  0.146  0.146  0.785
Cd  0.262  0.262  0.549
Cd  0.444  0.444  0.142
Cd  0.556  0.556  0.858
Cd  0.738  0.738  0.451
Cd  0.854  0.854  0.215
Rh  0.275  0.725  0.500
Rh  0.725  0.275  0.500

Largest 12 diffraction maxima, low angle first, 10 to 90 degrees two-theta:
2θ (°)  d_spacing  I/Imax
11.10  7.969  78.8
30.89  2.894  59.9
31.61  2.830  34.5
32.70  2.739  36.8
33.74  2.656  87.7
34.14  2.626  42.1
36.15  2.485  100.0
36.50  2.461  41.8
37.97  2.370  63.1
41.79  2.162  91.1
44.29  2.045  32.4
64.36  1.448  57.7

=====

Structure and simulated X-ray powder pattern of KCd6Rh (DFT lattice parameters and positions (GGA-PBE); λ = 1.5418 Å (Cu Kα)).
Peak positions follow from Bragg's law for the DFT cell and can differ from measured ones.

Cell and atoms:
Unit cell a=7.441 b=7.441 c=4.885 alpha=109.13 beta=109.13 gamma=112.93
Element x y z (fractional)
K  0.000  0.000  0.000
Cd  0.066  0.407  0.737
Cd  0.381  0.619  0.500
Cd  0.407  0.066  0.737
Cd  0.593  0.934  0.263
Cd  0.619  0.381  0.500
Cd  0.934  0.593  0.263
Rh  0.500  0.500  0.000

Largest 12 diffraction maxima, low angle first, 10 to 90 degrees two-theta:
2θ (°)  d_spacing  I/Imax
15.17  5.840  57.4
26.86  3.319  15.7
28.28  3.156  18.0
30.62  2.920  39.2
33.49  2.676  37.2
36.80  2.442  48.9
36.92  2.435  41.9
39.45  2.284  100.0
40.79  2.212  30.1
48.60  1.873  20.7
68.06  1.378  18.9
68.49  1.370  13.7

=====

Structure and simulated X-ray powder pattern of KZn2CdRh (DFT lattice parameters and positions (GGA-PBE); λ = 1.5418 Å (Cu Kα)).
Peak positions follow from Bragg's law for the DFT cell and can differ from measured ones.

Cell and atoms:
Unit cell a=4.916 b=4.916 c=5.255 alpha=90.00 beta=90.00 gamma=90.00
Element x y z (fractional)
K  0.000  0.000  0.000
Zn  0.000  0.500  0.500
Zn  0.500  0.000  0.500
Cd  0.500  0.500  0.000
Rh  0.500  0.500  0.500

Largest 12 diffraction maxima, low angle first, 10 to 90 degrees two-theta:
2θ (°)  d_spacing  I/Imax
16.87  5.255  15.5
18.05  4.916  100.0
25.63  3.476  19.4
30.84  2.899  62.7
34.12  2.627  52.2
36.56  2.458  86.1
38.86  2.317  29.0
41.06  2.198  24.8
50.87  1.795  64.4
52.66  1.738  28.9
54.42  1.686  21.6
64.26  1.450  30.6

=====

Structure and simulated X-ray powder pattern of K3CdS3 (DFT lattice parameters and positions (GGA-PBE); λ = 1.5418 Å (Cu Kα)).
Peak positions follow from Bragg's law for the DFT cell and can differ from measured ones.

Cell and atoms:
Unit cell a=7.997 b=7.997 c=7.678 alpha=95.69 beta=95.69 gamma=113.36
Element x y z (fractional)
K  0.171  0.829  0.000
K  0.233  0.767  0.500
K  0.389  0.389  0.148
K  0.611  0.611  0.852
K  0.767  0.233  0.500
K  0.829  0.171  0.000
Cd  0.188  0.188  0.643
Cd  0.812  0.812  0.357
S  0.099  0.099  0.306
S  0.164  0.472  0.782
S  0.472  0.164  0.782
S  0.528  0.836  0.218
S  0.836  0.528  0.218
S  0.901  0.901  0.694

Largest 12 diffraction maxima, low angle first, 10 to 90 degrees two-theta:
2θ (°)  d_spacing  I/Imax
12.20  7.257  26.7
13.25  6.682  50.0
15.60  5.680  100.0
24.53  3.629  37.1
24.88  3.579  31.8
26.68  3.341  24.3
28.45  3.138  23.1
28.87  3.093  37.2
29.23  3.055  22.2
31.90  2.805  50.8
34.14  2.626  55.2
37.19  2.418  41.9

=====

Structure and simulated X-ray powder pattern of K2Cd2S3 (DFT lattice parameters and positions (GGA-PBE); λ = 1.5418 Å (Cu Kα)).
Peak positions follow from Bragg's law for the DFT cell and can differ from measured ones.

Cell and atoms:
Unit cell a=10.998 b=10.998 c=7.229 alpha=108.81 beta=108.81 gamma=84.23
Element x y z (fractional)
K  0.069  0.931  0.750
K  0.216  0.784  0.250
K  0.309  0.488  0.406
K  0.488  0.309  0.906
K  0.512  0.691  0.094
K  0.691  0.512  0.594
K  0.784  0.216  0.750
K  0.931  0.069  0.250
Cd  0.046  0.583  0.746
Cd  0.144  0.293  0.801
Cd  0.293  0.144  0.301
Cd  0.417  0.954  0.754
Cd  0.583  0.046  0.246
Cd  0.707  0.856  0.699
Cd  0.856  0.707  0.199
Cd  0.954  0.417  0.254
S  0.067  0.647  0.440
S  0.083  0.230  0.078
S  0.230  0.083  0.578
S  0.264  0.507  0.937
S  0.353  0.933  0.060
S  0.493  0.736  0.563
S  0.507  0.264  0.437
S  0.647  0.067  0.940
S  0.736  0.493  0.063
S  0.770  0.917  0.422
S  0.917  0.770  0.922
S  0.933  0.353  0.560

Largest 12 diffraction maxima, low angle first, 10 to 90 degrees two-theta:
2θ (°)  d_spacing  I/Imax
12.04  7.349  100.0
21.86  4.066  22.3
24.63  3.614  32.8
25.09  3.549  69.4
26.04  3.421  21.6
27.40  3.255  17.7
27.82  3.207  29.1
31.03  2.882  30.8
32.76  2.733  69.2
35.00  2.564  22.3
36.55  2.459  25.9
41.75  2.164  41.8

=====

Structure and simulated X-ray powder pattern of KCdS (DFT lattice parameters and positions (GGA-PBE); λ = 1.5418 Å (Cu Kα)).
Peak positions follow from Bragg's law for the DFT cell and can differ from measured ones.

Cell and atoms:
Unit cell a=6.685 b=6.685 c=6.217 alpha=90.00 beta=90.00 gamma=144.32
Element x y z (fractional)
K  0.000  0.000  0.000
K  0.000  0.000  0.500
Cd  0.289  0.711  0.750
Cd  0.711  0.289  0.250
S  0.347  0.653  0.250
S  0.653  0.347  0.750

Largest 12 diffraction maxima, low angle first, 10 to 90 degrees two-theta:
2θ (°)  d_spacing  I/Imax
13.92  6.363  71.0
27.00  3.303  82.6
28.72  3.109  29.4
30.34  2.946  100.0
31.59  2.832  21.2
32.04  2.793  90.6
33.66  2.663  58.8
36.99  2.430  38.5
44.23  2.048  26.4
45.17  2.007  24.1
51.49  1.775  42.9
55.66  1.651  34.0

=====

Structure and simulated X-ray powder pattern of K2CdSeS (DFT lattice parameters and positions (GGA-PBE); λ = 1.5418 Å (Cu Kα)).
Peak positions follow from Bragg's law for the DFT cell and can differ from measured ones.

Cell and atoms:
Unit cell a=8.206 b=4.305 c=9.994 alpha=90.00 beta=106.75 gamma=90.00
Element x y z (fractional)
K  0.159  0.250  0.390
K  0.190  0.250  0.951
K  0.810  0.750  0.049
K  0.841  0.750  0.610
Cd  0.488  0.250  0.735
Cd  0.512  0.750  0.265
Se  0.287  0.750  0.689
Se  0.713  0.250  0.311
S  0.205  0.750  0.181
S  0.795  0.250  0.819

Largest 12 diffraction maxima, low angle first, 10 to 90 degrees two-theta:
2θ (°)  d_spacing  I/Imax
11.26  7.857  82.1
18.54  4.785  90.8
18.73  4.738  100.0
24.84  3.585  37.0
26.55  3.357  49.9
27.91  3.197  65.7
28.00  3.186  69.8
30.22  2.957  42.8
34.17  2.624  91.7
35.95  2.498  60.3
39.02  2.308  49.2
41.97  2.153  44.8

=====

Structure and simulated X-ray powder pattern of KSmCdS3 (DFT lattice parameters and positions (GGA-PBE); λ = 1.5418 Å (Cu Kα)).
Peak positions follow from Bragg's law for the DFT cell and can differ from measured ones.

Cell and atoms:
Unit cell a=8.707 b=4.191 c=10.024 alpha=90.00 beta=106.27 gamma=90.00
Element x y z (fractional)
K  0.204  0.250  0.215
K  0.796  0.750  0.785
Sm  0.331  0.750  0.862
Sm  0.669  0.250  0.138
Cd  0.086  0.250  0.610
Cd  0.914  0.750  0.390
S  0.109  0.250  0.865
S  0.220  0.750  0.544
S  0.456  0.750  0.145
S  0.544  0.250  0.855
S  0.780  0.250  0.456
S  0.891  0.750  0.135

Largest 12 diffraction maxima, low angle first, 10 to 90 degrees two-theta:
2θ (°)  d_spacing  I/Imax
11.92  7.423  100.0
23.98  3.712  14.6
26.60  3.352  16.5
27.82  3.207  7.7
28.25  3.160  18.5
29.77  3.001  18.5
30.20  2.959  31.5
32.59  2.748  12.8
34.45  2.603  17.8
37.70  2.386  10.4
43.17  2.096  11.1
43.52  2.079  18.0

=====

Structure and simulated X-ray powder pattern of K2CdTeS4 (DFT lattice parameters and positions (GGA-PBE); λ = 1.5418 Å (Cu Kα)).
Peak positions follow from Bragg's law for the DFT cell and can differ from measured ones.

Cell and atoms:
Unit cell a=8.642 b=8.642 c=8.642 alpha=121.14 beta=92.19 gamma=116.40
Element x y z (fractional)
K  0.000  0.000  0.000
K  0.000  0.500  0.500
K  0.511  0.495  0.516
K  0.979  0.995  0.484
Cd  0.411  0.411  0.000
Cd  0.411  0.911  0.500
Te  0.458  0.922  0.036
Te  0.886  0.422  0.964
S  0.245  0.005  0.740
S  0.266  0.505  0.260
S  0.292  0.533  0.812
S  0.292  0.980  0.258
S  0.710  0.985  0.225
S  0.722  0.033  0.742
S  0.722  0.480  0.188
S  0.759  0.485  0.775

Largest 12 diffraction maxima, low angle first, 10 to 90 degrees two-theta:
2θ (°)  d_spacing  I/Imax
12.20  7.252  41.9
12.77  6.930  37.8
23.37  3.806  22.3
24.31  3.662  42.5
24.56  3.625  45.7
25.71  3.465  28.7
28.74  3.106  100.0
29.82  2.997  41.3
41.89  2.156  45.1
42.58  2.123  20.4
43.06  2.101  18.8
47.80  1.903  25.4

=====

Structure and simulated X-ray powder pattern of K5CdSb2 (DFT lattice parameters and positions (GGA-PBE); λ = 1.5418 Å (Cu Kα)).
Peak positions follow from Bragg's law for the DFT cell and can differ from measured ones.

Cell and atoms:
Unit cell a=10.612 b=10.612 c=10.612 alpha=33.50 beta=33.50 gamma=33.50
Element x y z (fractional)
K  0.000  0.000  0.000
K  0.126  0.126  0.126
K  0.280  0.280  0.280
K  0.720  0.720  0.720
K  0.874  0.874  0.874
Cd  0.500  0.500  0.500
Sb  0.406  0.406  0.406
Sb  0.594  0.594  0.594

Largest 12 diffraction maxima, low angle first, 10 to 90 degrees two-theta:
2θ (°)  d_spacing  I/Imax
17.00  5.217  51.5
17.75  4.996  28.9
26.74  3.334  19.7
29.19  3.059  100.0
34.35  2.611  35.9
37.06  2.426  12.8
40.00  2.254  16.4
45.39  1.998  9.8
45.69  1.986  17.9
51.77  1.766  21.7
55.14  1.666  15.2
60.54  1.529  9.7

=====

Structure and simulated X-ray powder pattern of K5Cd4Sb4 (DFT lattice parameters and positions (GGA-PBE); λ = 1.5418 Å (Cu Kα)).
Peak positions follow from Bragg's law for the DFT cell and can differ from measured ones.

Cell and atoms:
Unit cell a=9.987 b=9.987 c=9.987 alpha=93.27 beta=93.27 gamma=152.36
Element x y z (fractional)
K  0.000  0.000  0.000
K  0.294  0.360  0.654
K  0.360  0.706  0.066
K  0.640  0.294  0.934
K  0.706  0.640  0.346
Cd  0.108  0.581  0.689
Cd  0.419  0.108  0.528
Cd  0.581  0.892  0.472
Cd  0.892  0.419  0.311
Sb  0.045  0.272  0.318
Sb  0.272  0.955  0.227
Sb  0.728  0.045  0.773
Sb  0.955  0.728  0.682

Largest 12 diffraction maxima, low angle first, 10 to 90 degrees two-theta:
2θ (°)  d_spacing  I/Imax
18.30  4.849  19.3
20.48  4.337  24.2
27.01  3.301  20.5
29.12  3.067  16.3
30.05  2.974  100.0
32.82  2.729  26.5
33.31  2.690  26.0
37.71  2.385  27.4
37.83  2.378  57.9
46.84  1.940  15.4
52.20  1.752  16.3
55.76  1.649  21.4